Theoretical powder diffractogram
Compound: ScBe2F2
Radiation: a wavelength of 1.5418 Å
Structure: a structure optimized by DFT (PBE)

Main lines, in order of rising 2θ (2θ = 5–70°):
2θ/deg, Rel. int., (hkl)
26.59, 56, 1 0 1
35.01, 3, 1 1 0
39.48, 39, 1 0 3
40.72, 100, 1 1 2
40.94, 18, 0 0 4
50.35, 31, 2 0 0
57.84, 11, 2 1 1
58.18, 14, 1 0 5
65.80, 15, 2 1 3
66.83, 12, 2 0 4

Structure:
```
10
Lattice="3.6244 0.0000 0.0000 0.0000 3.6244 0.0000 0.0000 0.0000 8.8166" Properties=species:S:1:pos:R:3 pbc="T T T"
Sc 0.0000 0.0000 0.0000
Sc 1.8122 1.8122 4.4083
Be 0.0000 0.0000 3.4203
Be 0.0000 0.0000 5.3964
Be 1.8122 1.8122 0.9881
Be 1.8122 1.8122 7.8286
F 0.0000 1.8122 2.2042
F 0.0000 1.8122 6.6125
F 1.8122 0.0000 2.2042
F 1.8122 0.0000 6.6125
```